This entry pairs a crystal structure of Cs8BiP2 with its computed X-ray diffraction stick pattern. Radiation: λ = 1.5418 Å (Cu Kα). Structure: DFT lattice parameters and positions (PBE).

Atomic structure:
```
data_Cs8BiP2
_chemical_formula_sum 'Cs16 Bi2 P4'
_cell_length_a 5.992
_cell_length_b 9.591
_cell_length_c 18.641
_cell_angle_alpha 90.00
_cell_angle_beta 90.00
_cell_angle_gamma 90.00
_space_group_name_H-M_alt 'I m m m'
_space_group_IT_number 71
_space_group_name_Hall '-I 2 2'
loop_
_atom_site_label
_atom_site_fract_x
_atom_site_fract_y
_atom_site_fract_z
Cs1 0.000 0.000 0.152
Cs2 0.000 0.218 0.335
Cs3 0.000 0.302 0.000
Bi1 0.000 0.500 0.500
P1 0.000 0.500 0.182
```

The 10 most intense peaks (15 to 90 degrees two-theta), low angle first:
two_theta  I (rel.)
19.9  228
25.9  237
27.8  1000
28.3  159
28.7  253
29.8  247
41.6  114
41.9  180
50.3  163
51.7  176